This entry pairs a crystal structure of Rb3TlCd2Cl9 with its simulated X-ray powder pattern. Radiation: a wavelength of 1.5418 Å. Structure: DFT lattice parameters and positions (GGA-PBE).

Structural model:
a b c (Å): 7.5972 7.5972 9.3216
angles (deg): 90.00 90.00 120.00
Space group P-3m1 (No. 164)
Unique sites:
Rb: 0.0000 0.0000 0.0000 x1
Rb: 0.3333 0.6667 0.6694 x2
Tl: 0.0000 0.0000 0.5000 x1
Cd: 0.3333 0.6667 0.1596 x2
Cl: 0.0000 0.5000 0.0000 x3
Cl: 0.1723 0.3445 0.3272 x6

Most intense lines, 5 to 70 degrees two-theta, by intensity:
hkl	2theta	I/Imax
1 1 0	23.40	100
2 0 2	33.34	62
3 0 0	41.13	47
2 2 0	47.86	42
1 0 1	16.49	29
3 1 2	53.94	22
2 1 1	37.41	14
4 1 0	64.95	12
1 3 4	64.87	12
0 4 2	59.61	11
3 0 3	50.97	7
0 0 3	28.77	4

=====

This entry pairs a crystal structure of SmDy12Sc5 with its simulated X-ray powder pattern. Radiation: a wavelength of 1.5418 Å. Structure: DFT lattice parameters and positions (GGA-PBE).

Structural model:
a b c (Å): 6.0445 10.4674 16.9222
angles (deg): 90.00 96.83 90.00
Space group C2/m (No. 12)
Unique sites:
Sm: 0.0000 0.0000 0.0000 x2
Dy: 0.1085 0.5000 0.8332 x4
Dy: 0.1121 0.1678 0.8333 x8
Dy: 0.2200 0.0000 0.6607 x4
Dy: 0.2202 0.3335 0.6607 x8
Sc: 0.0000 0.1666 0.5000 x4
Sc: 0.0000 0.3334 0.0000 x4
Sc: 0.0000 0.5000 0.5000 x2

Most intense lines, 5 to 70 degrees two-theta, by intensity:
hkl	2theta	I/Imax
2 0 1	30.89	100
0 0 6	31.96	50
2 0 -5	37.74	49
1 3 3	34.61	46
0 6 0	52.44	37
1 3 -3	32.87	37
0 6 6	62.76	32
0 0 2	10.53	32
2 0 -3	32.12	28
2 0 7	51.51	27
2 0 3	35.59	18
3 3 5	62.74	14

=====

This entry pairs a crystal structure of YErFe with its simulated X-ray powder pattern. Radiation: a wavelength of 1.5418 Å. Structure: DFT lattice parameters and positions (GGA-PBE).

Structural model:
a b c (Å): 3.3206 3.3206 12.7448
angles (deg): 90.00 90.00 90.00
Space group I4mm (No. 107)
Unique sites:
Y: 0.0000 0.0000 0.0000 x2
Er: 0.0000 0.0000 0.2517 x2
Fe: 0.0000 0.0000 0.6287 x2

Most intense lines, 5 to 70 degrees two-theta, by intensity:
hkl	2theta	I/Imax
1 0 3	34.28	100
1 1 0	38.33	59
1 0 1	27.76	48
1 0 5	44.83	45
0 0 2	13.90	32
2 1 3	66.72	28
0 0 4	28.00	27
1 1 4	48.14	24
2 0 0	55.33	20
2 0 4	63.15	11
2 1 1	63.02	10
1 1 2	40.96	9